Theoretical PXRD pattern
Compound: Rb2Na2Al3Si3O12
Radiation: Cu Kα, 1.54184 Å
Structure: a crystal structure in the Materials Project, relaxed with GGA-PBE

Principal peaks in the range 2θ = 15–90°, most intense first:
| Position (°2θ) | I/Imax |
| --- | --- |
| 29.62 | 100 |
| 25.35 | 45 |
| 33.87 | 29 |
| 30.54 | 29 |
| 27.24 | 26 |
| 22.97 | 23 |
| 58.00 | 18 |
| 20.22 | 17 |
| 56.18 | 11 |
| 33.50 | 11 |

Cell and atoms:
```
data_Rb2Na2Al3Si3O12
_chemical_formula_sum 'Rb4 Na4 Al6 Si6 O24'
_space_group_name_H-M_alt 'P 1'
_space_group_IT_number 1
_space_group_name_Hall 'P 1'
_cell_length_a 15.5009
_cell_length_b 8.3348
_cell_length_c 5.2932
_cell_angle_alpha 90.00
_cell_angle_beta 90.00
_cell_angle_gamma 90.00
loop_
_atom_site_label
_atom_site_fract_x
_atom_site_fract_y
_atom_site_fract_z
Rb1 0.2139 0.1539 0.0000
Rb2 0.2861 0.8461 0.5000
Rb3 0.7139 0.8461 0.5000
Rb4 0.7861 0.1539 0.0000
Na1 0.0000 0.3278 0.9750
Na2 0.0000 0.6734 0.4858
Na3 0.5000 0.3266 0.9858
Na4 0.5000 0.6722 0.4750
Al1 0.0000 0.0994 0.5065
Al2 0.1453 0.6059 0.0126
Al3 0.3547 0.3941 0.5126
Al4 0.5000 0.9006 0.0065
Al5 0.6453 0.3941 0.5126
Al6 0.8547 0.6059 0.0126
Si1 0.0000 0.8850 0.0108
Si2 0.1417 0.3897 0.5118
Si3 0.3583 0.6103 0.0118
Si4 0.5000 0.1150 0.5108
Si5 0.6417 0.6103 0.0118
Si6 0.8583 0.3897 0.5118
O1 0.0000 0.0533 0.1780
O2 0.0000 0.9287 0.7068
O3 0.0849 0.7778 0.0899
O4 0.0896 0.2238 0.5835
O5 0.1126 0.5300 0.7139
O6 0.1152 0.4482 0.2249
O7 0.2445 0.3481 0.5319
O8 0.2555 0.6519 0.0319
O9 0.3848 0.5518 0.7249
O10 0.3874 0.4700 0.2139
O11 0.4104 0.7762 0.0835
O12 0.4151 0.2222 0.5899
O13 0.5000 0.0713 0.2068
O14 0.5000 0.9467 0.6780
O15 0.5849 0.2222 0.5899
O16 0.5896 0.7762 0.0835
O17 0.6126 0.4700 0.2139
O18 0.6152 0.5518 0.7249
O19 0.7445 0.6519 0.0319
O20 0.7555 0.3481 0.5319
O21 0.8848 0.4482 0.2249
O22 0.8874 0.5300 0.7139
O23 0.9104 0.2238 0.5835
O24 0.9151 0.7778 0.0899
```

=====

Theoretical PXRD pattern
Compound: Na8Al12SO28
Radiation: Cu Kα, 1.54184 Å
Structure: a crystal structure in the Materials Project, relaxed with GGA-PBE

Principal peaks in the range 2θ = 15–90°, most intense first:
| Position (°2θ) | I/Imax |
| --- | --- |
| 22.96 | 100 |
| 32.70 | 45 |
| 40.33 | 23 |
| 48.95 | 15 |
| 54.73 | 15 |
| 73.32 | 15 |
| 65.23 | 13 |
| 29.78 | 11 |
| 60.12 | 10 |
| 37.93 | 9 |

Cell and atoms:
```
data_Na8Al12SO28
_chemical_formula_sum 'Na8 Al12 S1 O28'
_space_group_name_H-M_alt 'P 1'
_space_group_IT_number 1
_space_group_name_Hall 'P 1'
_cell_length_a 9.4877
_cell_length_b 9.4877
_cell_length_c 9.4877
_cell_angle_alpha 90.00
_cell_angle_beta 90.00
_cell_angle_gamma 90.00
loop_
_atom_site_label
_atom_site_fract_x
_atom_site_fract_y
_atom_site_fract_z
Na1 0.2028 0.2028 0.7972
Na2 0.2028 0.7972 0.2028
Na3 0.2331 0.2331 0.2331
Na4 0.2331 0.7669 0.7669
Na5 0.7669 0.2331 0.7669
Na6 0.7669 0.7669 0.2331
Na7 0.7972 0.2028 0.2028
Na8 0.7972 0.7972 0.7972
Al1 0.0000 0.2510 0.5000
Al2 0.0000 0.5000 0.2510
Al3 0.0000 0.5000 0.7490
Al4 0.0000 0.7490 0.5000
Al5 0.2510 0.0000 0.5000
Al6 0.2510 0.5000 0.0000
Al7 0.5000 0.0000 0.2510
Al8 0.5000 0.0000 0.7490
Al9 0.5000 0.2510 0.0000
Al10 0.5000 0.7490 0.0000
Al11 0.7490 0.0000 0.5000
Al12 0.7490 0.5000 0.0000
S1 0.0000 0.0000 0.0000
O1 0.0409 0.3493 0.3493
O2 0.0409 0.6507 0.6507
O3 0.0909 0.0909 0.0909
O4 0.0909 0.9091 0.9091
O5 0.1459 0.1459 0.5434
O6 0.1459 0.4566 0.8541
O7 0.1459 0.5434 0.1459
O8 0.1459 0.8541 0.4566
O9 0.3493 0.0409 0.3493
O10 0.3493 0.3493 0.0409
O11 0.3493 0.6507 0.9591
O12 0.3493 0.9591 0.6507
O13 0.4566 0.1459 0.8541
O14 0.4566 0.8541 0.1459
O15 0.5434 0.1459 0.1459
O16 0.5434 0.8541 0.8541
O17 0.6507 0.0409 0.6507
O18 0.6507 0.3493 0.9591
O19 0.6507 0.6507 0.0409
O20 0.6507 0.9591 0.3493
O21 0.8541 0.1459 0.4566
O22 0.8541 0.4566 0.1459
O23 0.8541 0.5434 0.8541
O24 0.8541 0.8541 0.5434
O25 0.9091 0.0909 0.9091
O26 0.9091 0.9091 0.0909
O27 0.9591 0.3493 0.6507
O28 0.9591 0.6507 0.3493
```

=====

Theoretical PXRD pattern
Compound: NaAl3S2O14
Radiation: Cu Kα, 1.54184 Å
Structure: a crystal structure in the Materials Project, relaxed with GGA-PBE

Principal peaks in the range 2θ = 15–90°, most intense first:
| Position (°2θ) | I/Imax |
| --- | --- |
| 30.01 | 100 |
| 17.93 | 69 |
| 47.90 | 32 |
| 39.42 | 31 |
| 25.57 | 26 |
| 52.54 | 18 |
| 61.85 | 17 |
| 15.55 | 10 |
| 31.04 | 9 |
| 73.81 | 8 |

Cell and atoms:
```
data_NaAl3S2O14
_chemical_formula_sum 'Na1 Al3 S2 O14'
_space_group_name_H-M_alt 'P 1'
_space_group_IT_number 1
_space_group_name_Hall 'P 1'
_cell_length_a 7.0280
_cell_length_b 7.0280
_cell_length_c 7.0280
_cell_angle_alpha 59.43
_cell_angle_beta 59.43
_cell_angle_gamma 59.43
loop_
_atom_site_label
_atom_site_fract_x
_atom_site_fract_y
_atom_site_fract_z
Na1 0.0000 0.0000 0.0000
Al1 0.0000 0.0000 0.5000
Al2 0.0000 0.5000 0.0000
Al3 0.5000 0.0000 0.0000
S1 0.3090 0.3090 0.3090
S2 0.6910 0.6910 0.6910
O1 0.0887 0.7474 0.7474
O2 0.1604 0.1604 0.5098
O3 0.1604 0.5098 0.1604
O4 0.2526 0.2526 0.9113
O5 0.2526 0.9113 0.2526
O6 0.3922 0.3922 0.3922
O7 0.4902 0.8396 0.8396
O8 0.5098 0.1604 0.1604
O9 0.6078 0.6078 0.6078
O10 0.7474 0.0887 0.7474
O11 0.7474 0.7474 0.0887
O12 0.8396 0.4902 0.8396
O13 0.8396 0.8396 0.4902
O14 0.9113 0.2526 0.2526
```